This entry pairs a crystal structure of RbTc4Se7 with its computed powder diffraction line list. Radiation: λ = 1.5418 Å (Cu Kα). Structure: a PBE-relaxed structure.
No peak broadening, texture or thermal motion is included.

The 12 most intense peaks (2θ from 5° to 70°), sorted by position:
| (hkl) | 2θ (°) | I_rel |
| --- | --- | --- |
| 0 2 0 | 11.6 | 61 |
| 0 1 1 | 12.4 | 34 |
| 0 0 2 | 22.0 | 32 |
| 1 2 1 | 24.7 | 36 |
| 0 4 1 | 25.8 | 73 |
| 1 0 2 | 29.1 | 57 |
| 2 0 0 | 37.9 | 100 |
| 1 6 1 | 41.8 | 24 |
| 1 4 3 | 45.5 | 76 |
| 2 4 1 | 46.4 | 30 |
| 0 8 0 | 47.7 | 23 |
| 2 8 0 | 62.5 | 22 |

Structure:
a = 4.7482 Å, b = 15.2564 Å, c = 8.0636 Å
α = 90.00°, β = 90.00°, γ = 90.00°
Space group Pmmn (No. 59, origin choice 2)
Symmetry-distinct sites (fractional):
1 Rb 0.2500 0.2500 0.2220 (multiplicity 2)
2 Tc 0.2500 0.9996 0.7779 (multiplicity 4)
3 Tc 0.2500 0.6148 0.2547 (multiplicity 4)
4 Se 0.2500 0.0245 0.1088 (multiplicity 4)
5 Se 0.2500 0.1354 0.6379 (multiplicity 4)
6 Se 0.2500 0.6072 0.5713 (multiplicity 4)
7 Se 0.2500 0.7500 0.1022 (multiplicity 2)

---

This entry pairs a crystal structure of PmPr3Cd with its computed powder diffraction line list. Radiation: λ = 1.5418 Å (Cu Kα). Structure: a PBE-relaxed structure.
No peak broadening, texture or thermal motion is included.

The 12 most intense peaks (2θ from 5° to 70°), sorted by position:
| (hkl) | 2θ (°) | I_rel |
| --- | --- | --- |
| 0 2 -3 | 30.3 | 47 |
| 0 2 2 | 30.6 | 51 |
| 1 2 -1 | 30.9 | 100 |
| 1 0 2 | 32.8 | 89 |
| 0 4 -1 | 40.6 | 18 |
| 0 0 5 | 46.4 | 15 |
| 2 0 -1 | 47.7 | 16 |
| 1 4 -4 | 53.0 | 15 |
| 1 4 1 | 53.3 | 17 |
| 1 2 4 | 56.9 | 16 |
| 2 2 -4 | 57.6 | 17 |
| 2 2 1 | 57.7 | 20 |

Structure:
a = 3.8128 Å, b = 8.8931 Å, c = 10.2306 Å
α = 103.00°, β = 100.74°, γ = 90.01°
Space group P-1 (No. 2)
Symmetry-distinct sites (fractional):
1 Pm 0.0957 0.0376 0.1905 (multiplicity 2)
2 Pr 0.2973 0.1701 0.5955 (multiplicity 2)
3 Pr 0.3132 0.6248 0.6264 (multiplicity 2)
4 Pr 0.4967 0.7182 0.9929 (multiplicity 2)
5 Cd 0.1012 0.5706 0.2018 (multiplicity 2)

---

This entry pairs a crystal structure of Ca2MgIr with its computed powder diffraction line list. Radiation: λ = 1.5418 Å (Cu Kα). Structure: a PBE-relaxed structure.
No peak broadening, texture or thermal motion is included.

The 12 most intense peaks (2θ from 5° to 70°), sorted by position:
| (hkl) | 2θ (°) | I_rel |
| --- | --- | --- |
| 0 0 2 | 16.2 | 77 |
| 1 0 0 | 19.9 | 40 |
| 0 1 1 | 22.2 | 58 |
| 1 0 2 | 25.8 | 28 |
| 1 1 1 | 30.1 | 100 |
| 0 1 3 | 32.2 | 45 |
| 1 1 3 | 38.1 | 70 |
| 1 0 4 | 38.6 | 36 |
| 2 0 0 | 40.5 | 22 |
| 2 1 3 | 52.7 | 22 |
| 1 0 6 | 54.3 | 20 |
| 1 2 4 | 58.4 | 21 |

Structure:
a = 4.4507 Å, b = 4.2911 Å, c = 10.9665 Å
α = 90.00°, β = 90.00°, γ = 90.00°
Space group Amm2 (No. 38)
Symmetry-distinct sites (fractional):
1 Ca 0.0000 0.0000 0.0000 (multiplicity 2)
2 Ca 0.5000 0.0000 0.2833 (multiplicity 2)
3 Mg 0.0000 0.0000 0.6994 (multiplicity 2)
4 Ir 0.5000 0.0000 0.5779 (multiplicity 2)

---

This entry pairs a crystal structure of Tl4Hg5 with its computed powder diffraction line list. Radiation: λ = 1.5418 Å (Cu Kα). Structure: a PBE-relaxed structure.
No peak broadening, texture or thermal motion is included.

The 9 most intense peaks (2θ from 5° to 70°), sorted by position:
| (hkl) | 2θ (°) | I_rel |
| --- | --- | --- |
| 3 0 1 | 32.7 | 100 |
| 5 3 0 | 45.6 | 1 |
| 0 0 2 | 46.8 | 6 |
| 6 0 0 | 47.0 | 12 |
| 3 3 2 | 58.3 | 13 |
| 6 3 1 | 58.4 | 25 |
| 7 0 1 | 60.8 | 1 |
| 6 0 2 | 68.5 | 8 |
| 6 6 0 | 68.6 | 4 |

Structure:
a = 11.6022 Å, b = 11.6022 Å, c = 3.8826 Å
α = 90.00°, β = 90.00°, γ = 90.00°
Space group I4/mmm (No. 139)
Symmetry-distinct sites (fractional):
1 Tl 0.0000 0.3221 0.0000 (multiplicity 8)
2 Hg 0.0000 0.0000 0.0000 (multiplicity 2)
3 Hg 0.1694 0.1694 0.5000 (multiplicity 8)

---

This entry pairs a crystal structure of Li6Pm2Au3 with its computed powder diffraction line list. Radiation: λ = 1.5418 Å (Cu Kα). Structure: a PBE-relaxed structure.
No peak broadening, texture or thermal motion is included.

The 12 most intense peaks (2θ from 5° to 70°), sorted by position:
| (hkl) | 2θ (°) | I_rel |
| --- | --- | --- |
| 1 0 0 | 12.7 | 64 |
| 1 1 0 | 22.1 | 41 |
| 1 1 1 | 31.4 | 100 |
| 2 0 1 | 34.0 | 65 |
| 3 0 0 | 38.8 | 20 |
| 2 1 1 | 40.9 | 20 |
| 0 0 2 | 44.9 | 12 |
| 3 1 0 | 47.1 | 27 |
| 3 1 1 | 52.6 | 23 |
| 3 0 2 | 60.8 | 11 |
| 3 2 1 | 62.6 | 13 |
| 3 1 2 | 67.1 | 19 |

Structure:
a = 8.0360 Å, b = 8.0360 Å, c = 4.0388 Å
α = 90.00°, β = 90.00°, γ = 120.00°
Space group P-62m (No. 189)
Symmetry-distinct sites (fractional):
1 Li 0.0000 0.2619 0.0000 (multiplicity 3)
2 Li 0.0000 0.7951 0.5000 (multiplicity 3)
3 Pm 0.3333 0.6667 0.5000 (multiplicity 2)
4 Au 0.0000 0.5932 0.0000 (multiplicity 3)

---

This entry pairs a crystal structure of CeIrRhO6 with its computed powder diffraction line list. Radiation: λ = 1.5418 Å (Cu Kα). Structure: a PBE-relaxed structure.
No peak broadening, texture or thermal motion is included.

The 12 most intense peaks (2θ from 5° to 70°), sorted by position:
| (hkl) | 2θ (°) | I_rel |
| --- | --- | --- |
| 0 0 2 | 20.3 | 23 |
| 1 0 1 | 21.7 | 6 |
| 1 0 2 | 28.0 | 100 |
| 1 1 0 | 33.4 | 64 |
| 1 1 2 | 39.4 | 32 |
| 0 0 4 | 41.3 | 9 |
| 2 0 2 | 44.2 | 29 |
| 2 -1 4 | 54.2 | 49 |
| 3 -1 2 | 56.5 | 28 |
| 3 0 0 | 59.7 | 21 |
| 3 0 2 | 63.8 | 7 |
| 1 0 6 | 67.4 | 8 |

Structure:
a = 5.3614 Å, b = 5.3614 Å, c = 8.7384 Å
α = 90.00°, β = 90.00°, γ = 120.00°
Space group P-31c (No. 163)
Symmetry-distinct sites (fractional):
1 Ce 0.3333 0.6667 0.2500 (multiplicity 2)
2 Ir 0.3333 0.6667 0.7500 (multiplicity 2)
3 Rh 0.0000 0.0000 0.0000 (multiplicity 2)
4 O 0.0329 0.3470 0.6199 (multiplicity 12)

---

This entry pairs a crystal structure of ZnFe2Br with its computed powder diffraction line list. Radiation: λ = 1.5418 Å (Cu Kα). Structure: a PBE-relaxed structure.
No peak broadening, texture or thermal motion is included.

The 12 most intense peaks (2θ from 5° to 70°), sorted by position:
| (hkl) | 2θ (°) | I_rel |
| --- | --- | --- |
| 0 0 1 | 13.6 | 14 |
| 1 0 0 | 25.8 | 34 |
| 1 0 1 | 29.3 | 31 |
| 1 1 0 | 39.1 | 15 |
| 0 1 2 | 40.2 | 64 |
| 1 1 -1 | 41.6 | 100 |
| 1 0 -3 | 49.6 | 23 |
| 1 0 3 | 49.7 | 23 |
| 2 0 0 | 53.1 | 19 |
| 0 2 0 | 59.9 | 13 |
| 2 1 -2 | 68.6 | 12 |
| 2 1 2 | 68.7 | 12 |

Structure:
a = 3.4481 Å, b = 3.0899 Å, c = 6.5116 Å
α = 90.00°, β = 90.13°, γ = 90.00°
Space group P2/m (No. 10)
Symmetry-distinct sites (fractional):
1 Zn 0.0000 0.0000 0.0000 (multiplicity 1)
2 Fe 0.4993 0.5000 0.8198 (multiplicity 2)
3 Br 0.5000 0.0000 0.5000 (multiplicity 1)

---

This entry pairs a crystal structure of Li3Ni8 with its computed powder diffraction line list. Radiation: λ = 1.5418 Å (Cu Kα). Structure: a PBE-relaxed structure.
No peak broadening, texture or thermal motion is included.

The 12 most intense peaks (2θ from 5° to 70°), sorted by position:
| (hkl) | 2θ (°) | I_rel |
| --- | --- | --- |
| 0 0 1 | 12.2 | 100 |
| 0 0 2 | 24.5 | 55 |
| 0 1 1 | 25.6 | 34 |
| 2 0 0 | 44.3 | 58 |
| 1 1 -3 | 44.9 | 74 |
| 1 -2 0 | 45.0 | 55 |
| 0 1 3 | 45.3 | 63 |
| 1 -2 1 | 46.4 | 20 |
| 1 -1 3 | 48.0 | 45 |
| 2 0 1 | 48.2 | 20 |
| 1 2 0 | 51.3 | 43 |
| -2 1 3 | 57.3 | 25 |

Structure:
a = 4.1866 Å, b = 4.3182 Å, c = 7.4046 Å
α = 95.76°, β = 98.64°, γ = 97.60°
Space group P-1 (No. 2)
Symmetry-distinct sites (fractional):
1 Li 0.0000 0.0000 0.0000 (multiplicity 1)
2 Li 0.0000 0.5000 0.5000 (multiplicity 1)
3 Li 0.5000 0.0000 0.5000 (multiplicity 1)
4 Ni 0.0329 0.4987 0.8366 (multiplicity 2)
5 Ni 0.0499 0.9934 0.6793 (multiplicity 2)
6 Ni 0.4567 0.2827 0.2379 (multiplicity 2)
7 Ni 0.4809 0.7606 0.0938 (multiplicity 2)

---

This entry pairs a crystal structure of Pr4NO with its computed powder diffraction line list. Radiation: λ = 1.5418 Å (Cu Kα). Structure: a PBE-relaxed structure.
No peak broadening, texture or thermal motion is included.

The 12 most intense peaks (2θ from 5° to 70°), sorted by position:
| (hkl) | 2θ (°) | I_rel |
| --- | --- | --- |
| 2 0 0 | 27.9 | 9 |
| 1 0 2 | 28.1 | 19 |
| 0 2 0 | 30.1 | 35 |
| 2 1 0 | 31.8 | 52 |
| 1 1 2 | 31.9 | 100 |
| 1 2 2 | 41.6 | 29 |
| 3 0 2 | 49.5 | 22 |
| 0 0 4 | 49.7 | 11 |
| 2 3 0 | 54.6 | 32 |
| 3 2 2 | 59.0 | 21 |
| 0 2 4 | 59.2 | 10 |
| 2 1 4 | 60.2 | 17 |

Structure:
a = 6.3878 Å, b = 5.9424 Å, c = 7.3366 Å
α = 90.00°, β = 90.00°, γ = 90.00°
Space group Pnc2 (No. 30)
Symmetry-distinct sites (fractional):
1 Pr 0.1627 0.2452 0.0000 (multiplicity 4)
2 Pr 0.3323 0.7376 0.7560 (multiplicity 4)
3 N 0.0000 0.0000 0.2463 (multiplicity 2)
4 O 0.5000 0.0000 0.0065 (multiplicity 2)

---

This entry pairs a crystal structure of K2BP2O8 with its computed powder diffraction line list. Radiation: λ = 1.5418 Å (Cu Kα). Structure: a PBE-relaxed structure.
No peak broadening, texture or thermal motion is included.

The 12 most intense peaks (2θ from 5° to 70°), sorted by position:
| (hkl) | 2θ (°) | I_rel |
| --- | --- | --- |
| 1 0 1 | 13.5 | 44 |
| 1 1 2 | 20.9 | 33 |
| 0 0 4 | 24.2 | 100 |
| 2 0 2 | 27.1 | 31 |
| 2 1 1 | 27.8 | 97 |
| 2 1 3 | 32.8 | 44 |
| 2 0 4 | 34.5 | 44 |
| 3 1 0 | 38.7 | 13 |
| 2 1 5 | 41.2 | 66 |
| 3 2 1 | 44.8 | 28 |
| 3 2 5 | 54.8 | 23 |
| 4 0 6 | 63.2 | 21 |

Structure:
a = 7.3581 Å, b = 7.3581 Å, c = 14.6878 Å
α = 90.00°, β = 90.00°, γ = 90.00°
Space group I-42d (No. 122)
Symmetry-distinct sites (fractional):
1 K 0.1311 0.7500 0.1250 (multiplicity 8)
2 B 0.0000 0.0000 0.5000 (multiplicity 4)
3 P 0.1377 0.2500 0.6250 (multiplicity 8)
4 O 0.0029 0.6664 0.6946 (multiplicity 16)
5 O 0.1068 0.7430 0.3294 (multiplicity 16)

---

This entry pairs a crystal structure of PmEr2ScP4 with its computed powder diffraction line list. Radiation: λ = 1.5418 Å (Cu Kα). Structure: a PBE-relaxed structure.
No peak broadening, texture or thermal motion is included.

The 12 most intense peaks (2θ from 5° to 70°), sorted by position:
| (hkl) | 2θ (°) | I_rel |
| --- | --- | --- |
| 0 0 1 | 13.7 | 15 |
| 1 1 0 | 26.4 | 12 |
| 2 0 0 | 27.6 | 73 |
| 1 1 1 | 31.9 | 100 |
| 2 0 1 | 34.9 | 6 |
| 0 0 3 | 41.9 | 4 |
| 0 2 0 | 45.8 | 72 |
| 3 1 0 | 48.0 | 4 |
| 3 1 1 | 54.3 | 32 |
| 0 0 4 | 56.9 | 19 |
| 4 0 0 | 57.0 | 6 |
| 2 2 2 | 66.8 | 11 |

Structure:
a = 6.8570 Å, b = 3.9679 Å, c = 6.8658 Å
α = 90.00°, β = 109.46°, γ = 90.00°
Space group P2/m (No. 10)
Symmetry-distinct sites (fractional):
1 Pm 0.0000 0.0000 0.0000 (multiplicity 1)
2 Er 0.0000 0.5000 0.5000 (multiplicity 1)
3 Er 0.5000 0.0000 0.5000 (multiplicity 1)
4 Sc 0.5000 0.5000 0.0000 (multiplicity 1)
5 P 0.2613 0.0000 0.7546 (multiplicity 2)
6 P 0.2608 0.5000 0.2529 (multiplicity 2)

---

This entry pairs a crystal structure of Li3Pm2HoSe6 with its computed powder diffraction line list. Radiation: λ = 1.5418 Å (Cu Kα). Structure: a PBE-relaxed structure.
No peak broadening, texture or thermal motion is included.

The 12 most intense peaks (2θ from 5° to 70°), sorted by position:
| (hkl) | 2θ (°) | I_rel |
| --- | --- | --- |
| 0 0 1 | 13.6 | 46 |
| 2 0 -1 | 25.3 | 37 |
| 1 3 1 | 30.9 | 100 |
| 2 0 1 | 33.9 | 19 |
| 1 3 2 | 41.0 | 8 |
| 0 6 0 | 43.8 | 38 |
| 2 0 2 | 44.9 | 35 |
| 3 3 0 | 46.0 | 13 |
| 4 0 0 | 54.6 | 20 |
| 0 0 4 | 56.5 | 10 |
| 0 6 3 | 61.9 | 8 |
| 2 6 2 | 64.5 | 12 |

Structure:
a = 7.1634 Å, b = 12.4115 Å, c = 6.9395 Å
α = 90.00°, β = 110.09°, γ = 90.00°
Space group C2/m (No. 12)
Symmetry-distinct sites (fractional):
1 Li 0.0000 0.0000 0.0000 (multiplicity 2)
2 Li 0.0000 0.3359 0.0000 (multiplicity 4)
3 Pm 0.0000 0.1668 0.5000 (multiplicity 4)
4 Ho 0.0000 0.5000 0.5000 (multiplicity 2)
5 Se 0.2409 0.5000 0.2449 (multiplicity 4)
6 Se 0.2484 0.3371 0.7567 (multiplicity 8)

---

This entry pairs a crystal structure of Sr2Ge3Pt4Au with its computed powder diffraction line list. Radiation: λ = 1.5418 Å (Cu Kα). Structure: a PBE-relaxed structure.
No peak broadening, texture or thermal motion is included.

The 12 most intense peaks (2θ from 5° to 70°), sorted by position:
| (hkl) | 2θ (°) | I_rel |
| --- | --- | --- |
| 0 0 2 | 17.1 | 22 |
| 1 0 1 | 21.6 | 23 |
| 1 0 2 | 26.3 | 12 |
| 1 0 3 | 32.8 | 26 |
| 1 1 2 | 33.2 | 100 |
| 2 0 0 | 40.3 | 69 |
| 1 1 4 | 45.3 | 47 |
| 1 0 5 | 48.5 | 23 |
| 2 1 3 | 52.8 | 15 |
| 2 2 0 | 58.2 | 25 |
| 2 1 5 | 64.8 | 17 |
| 3 1 2 | 68.7 | 32 |

Structure:
a = 4.4808 Å, b = 4.4808 Å, c = 10.3428 Å
α = 90.00°, β = 90.00°, γ = 90.00°
Space group P-4m2 (No. 115)
Symmetry-distinct sites (fractional):
1 Sr 0.0000 0.5000 0.2461 (multiplicity 2)
2 Ge 0.0000 0.0000 0.0000 (multiplicity 1)
3 Ge 0.0000 0.5000 0.6178 (multiplicity 2)
4 Pt 0.0000 0.0000 0.5000 (multiplicity 1)
5 Pt 0.0000 0.5000 0.8538 (multiplicity 2)
6 Pt 0.5000 0.5000 0.5000 (multiplicity 1)
7 Au 0.5000 0.5000 0.0000 (multiplicity 1)